This entry pairs a crystal structure of BiTe with its calculated X-ray powder pattern. Radiation: Cu Kα X-rays. Structure: a DFT-relaxed cell (GGA-PBE, the Materials Project).
Kinematic intensities with the Lorentz-polarization factor, no thermal factor.

```
data_BiTe
_cell_length_a 4.8454
_cell_length_b 4.8454
_cell_length_c 9.9519
_cell_angle_alpha 90.00
_cell_angle_beta 90.00
_cell_angle_gamma 120.00
_symmetry_space_group_name_H-M 'R -3 m'
_symmetry_Int_Tables_number 166
_symmetry_space_group_name_Hall '-R 3 2"'
loop_
_atom_site_label
_atom_site_type_symbol
_atom_site_fract_x
_atom_site_fract_y
_atom_site_fract_z
Bi1 Bi 0.0000 0.0000 0.0000
Te1 Te 0.0000 0.0000 0.5000
```

Principal peaks in the range 10 to 90 degrees two-theta, most intense first:
Position (°2θ)  I/Imax  hkl
27.8  100  0 1 2
37.1  47  1 1 0
42.2  33  1 0 4
47.0  24  2 0 2
61.3  22  1 2 2
68.6  16  1 1 6
70.4  15  2 1 4
57.5  13  0 2 4
23.0  9  1 0 1
85.7  9  3 1 2
66.9  9  3 0 0
79.0  5  2 2 0